Record 1
This entry pairs a crystal structure of Ba2Al6Ga3 with its theoretical X-ray diffraction stick pattern. Radiation: Cu Kα (weighted mean of Kα1 and Kα2). Structure: a GGA-PBE-relaxed structure.
No peak broadening, texture or thermal motion is included.

Main lines, in order of rising 2θ (5° ≤ 2θ ≤ 70°):
12.63 deg, 7.008 Å, intensity 17
21.97 deg, 4.046 Å, intensity 22
29.85 deg, 2.993 Å, intensity 100
32.53 deg, 2.752 Å, intensity 15
38.54 deg, 2.336 Å, intensity 35
39.60 deg, 2.276 Å, intensity 25
40.57 deg, 2.224 Å, intensity 17
49.50 deg, 1.841 Å, intensity 21
57.19 deg, 1.611 Å, intensity 22
64.43 deg, 1.446 Å, intensity 21

a = 8.0919 Å, b = 8.0919 Å, c = 4.4477 Å
α = 90.00°, β = 90.00°, γ = 120.00°
Fractional coordinates of all 11 atoms:
Ba: 0.3333 0.6667 0.0000
Ba: 0.6667 0.3333 0.0000
Al: 0.0000 0.2880 0.5000
Al: 0.0000 0.8124 0.0000
Al: 0.1876 0.1876 0.0000
Al: 0.2880 0.0000 0.5000
Al: 0.7120 0.7120 0.5000
Al: 0.8124 0.0000 0.0000
Ga: 0.0000 0.6337 0.5000
Ga: 0.3664 0.3664 0.5000
Ga: 0.6337 0.0000 0.5000


Record 2
This entry pairs a crystal structure of BaAl6Ga2 with its theoretical X-ray diffraction stick pattern. Radiation: Cu Kα (weighted mean of Kα1 and Kα2). Structure: a GGA-PBE-relaxed structure.
No peak broadening, texture or thermal motion is included.

Main lines, in order of rising 2θ (5° ≤ 2θ ≤ 70°):
9.54 deg, 9.274 Å, intensity 87
27.72 deg, 3.218 Å, intensity 81
28.24 deg, 3.160 Å, intensity 61
29.87 deg, 2.991 Å, intensity 91
34.34 deg, 2.611 Å, intensity 65
35.30 deg, 2.542 Å, intensity 100
40.37 deg, 2.234 Å, intensity 90
44.00 deg, 2.058 Å, intensity 45
54.69 deg, 1.678 Å, intensity 56
61.23 deg, 1.514 Å, intensity 33

a = 4.4688 Å, b = 4.4688 Å, c = 9.2744 Å
α = 90.00°, β = 90.00°, γ = 90.00°
Fractional coordinates of all 9 atoms:
Ba: 0.0000 0.0000 0.0000
Al: 0.0000 0.0000 0.5000
Al: 0.0000 0.5000 0.3170
Al: 0.0000 0.5000 0.6830
Al: 0.5000 0.0000 0.3170
Al: 0.5000 0.0000 0.6830
Al: 0.5000 0.5000 0.5000
Ga: 0.5000 0.5000 0.1507
Ga: 0.5000 0.5000 0.8493


Record 3
This entry pairs a crystal structure of Ba3Al2Ge2 with its theoretical X-ray diffraction stick pattern. Radiation: Cu Kα (weighted mean of Kα1 and Kα2). Structure: a GGA-PBE-relaxed structure.
No peak broadening, texture or thermal motion is included.

Main lines, in order of rising 2θ (5° ≤ 2θ ≤ 70°):
24.28 deg, 3.666 Å, intensity 31
26.49 deg, 3.365 Å, intensity 28
28.07 deg, 3.179 Å, intensity 78
28.19 deg, 3.166 Å, intensity 100
32.18 deg, 2.782 Å, intensity 48
34.80 deg, 2.578 Å, intensity 39
37.35 deg, 2.407 Å, intensity 26
41.31 deg, 2.185 Å, intensity 24
50.69 deg, 1.801 Å, intensity 30
58.45 deg, 1.579 Å, intensity 25

a = 10.6458 Å, b = 10.6458 Å, c = 10.6458 Å
α = 156.31°, β = 151.97°, γ = 37.02°
Fractional coordinates of all 7 atoms:
Ba: 0.0000 0.0000 0.0000
Ba: 0.1837 0.6837 0.5000
Ba: 0.8163 0.3163 0.5000
Al: 0.4355 0.4355 0.0000
Al: 0.5645 0.5645 0.0000
Ge: 0.3651 0.8651 0.5000
Ge: 0.6349 0.1349 0.5000


Record 4
This entry pairs a crystal structure of Ba3Al2Ge3 with its theoretical X-ray diffraction stick pattern. Radiation: Cu Kα (weighted mean of Kα1 and Kα2). Structure: a GGA-PBE-relaxed structure.
No peak broadening, texture or thermal motion is included.

Main lines, in order of rising 2θ (5° ≤ 2θ ≤ 70°):
28.03 deg, 3.183 Å, intensity 66
28.63 deg, 3.118 Å, intensity 56
30.82 deg, 2.902 Å, intensity 100
32.45 deg, 2.759 Å, intensity 36
33.08 deg, 2.708 Å, intensity 41
34.82 deg, 2.576 Å, intensity 27
36.57 deg, 2.457 Å, intensity 25
38.60 deg, 2.332 Å, intensity 45
47.95 deg, 1.897 Å, intensity 32
52.83 deg, 1.733 Å, intensity 29

a = 6.9366 Å, b = 6.9366 Å, c = 15.4583 Å
α = 90.00°, β = 90.00°, γ = 140.70°
Fractional coordinates of all 16 atoms:
Ba: 0.0733 0.9267 0.6046
Ba: 0.0733 0.9267 0.8954
Ba: 0.3564 0.6436 0.7500
Ba: 0.6436 0.3564 0.2500
Ba: 0.9267 0.0733 0.1046
Ba: 0.9267 0.0733 0.3954
Al: 0.2327 0.7673 0.0969
Al: 0.2327 0.7673 0.4031
Al: 0.7673 0.2327 0.5969
Al: 0.7673 0.2327 0.9031
Ge: 0.3341 0.6659 0.2500
Ge: 0.3453 0.6547 0.5437
Ge: 0.3453 0.6547 0.9563
Ge: 0.6547 0.3453 0.0437
Ge: 0.6547 0.3453 0.4563
Ge: 0.6659 0.3341 0.7500


Record 5
This entry pairs a crystal structure of Ba10Al3Ge7 with its theoretical X-ray diffraction stick pattern. Radiation: Cu Kα (weighted mean of Kα1 and Kα2). Structure: a GGA-PBE-relaxed structure.
No peak broadening, texture or thermal motion is included.

Main lines, in order of rising 2θ (5° ≤ 2θ ≤ 70°):
23.82 deg, 3.736 Å, intensity 9
24.15 deg, 3.685 Å, intensity 11
27.60 deg, 3.232 Å, intensity 16
28.09 deg, 3.177 Å, intensity 100
31.39 deg, 2.850 Å, intensity 48
32.07 deg, 2.791 Å, intensity 46
42.61 deg, 2.122 Å, intensity 18
47.53 deg, 1.913 Å, intensity 14
49.28 deg, 1.849 Å, intensity 10
54.69 deg, 1.678 Å, intensity 16

a = 9.8725 Å, b = 9.8725 Å, c = 16.6157 Å
α = 90.00°, β = 90.00°, γ = 120.00°
Fractional coordinates of all 40 atoms:
Ba: 0.0000 0.2603 0.1029
Ba: 0.0000 0.2603 0.3971
Ba: 0.0000 0.7397 0.6029
Ba: 0.0000 0.7397 0.8971
Ba: 0.2603 0.0000 0.1029
Ba: 0.2603 0.0000 0.3971
Ba: 0.2603 0.2603 0.6029
Ba: 0.2603 0.2603 0.8971
Ba: 0.3333 0.6667 0.0000
Ba: 0.3333 0.6667 0.2500
Ba: 0.3333 0.6667 0.5000
Ba: 0.3333 0.6667 0.7500
Ba: 0.6667 0.3333 0.0000
Ba: 0.6667 0.3333 0.2500
Ba: 0.6667 0.3333 0.5000
Ba: 0.6667 0.3333 0.7500
Ba: 0.7397 0.0000 0.6029
Ba: 0.7397 0.0000 0.8971
Ba: 0.7397 0.7397 0.1029
Ba: 0.7397 0.7397 0.3971
Al: 0.0000 0.2691 0.7500
Al: 0.0000 0.7309 0.2500
Al: 0.2691 0.0000 0.7500
Al: 0.2691 0.2691 0.2500
Al: 0.7309 0.0000 0.2500
Al: 0.7309 0.7309 0.7500
Ge: 0.0000 0.0000 0.2500
Ge: 0.0000 0.0000 0.7500
Ge: 0.0000 0.3933 0.6172
Ge: 0.0000 0.3933 0.8828
Ge: 0.0000 0.6067 0.1172
Ge: 0.0000 0.6067 0.3828
Ge: 0.3933 0.0000 0.6172
Ge: 0.3933 0.0000 0.8828
Ge: 0.3933 0.3933 0.1172
Ge: 0.3933 0.3933 0.3828
Ge: 0.6067 0.0000 0.1172
Ge: 0.6067 0.0000 0.3828
Ge: 0.6067 0.6067 0.6172
Ge: 0.6067 0.6067 0.8828


Record 6
This entry pairs a crystal structure of Ba2LiAl4Ge3 with its theoretical X-ray diffraction stick pattern. Radiation: Cu Kα (weighted mean of Kα1 and Kα2). Structure: a GGA-PBE-relaxed structure.
No peak broadening, texture or thermal motion is included.

Main lines, in order of rising 2θ (5° ≤ 2θ ≤ 70°):
20.88 deg, 4.254 Å, intensity 29
27.33 deg, 3.263 Å, intensity 46
31.19 deg, 2.868 Å, intensity 100
31.90 deg, 2.805 Å, intensity 88
39.04 deg, 2.307 Å, intensity 57
45.76 deg, 1.983 Å, intensity 34
50.79 deg, 1.798 Å, intensity 50
56.39 deg, 1.632 Å, intensity 19
61.68 deg, 1.504 Å, intensity 28
66.27 deg, 1.410 Å, intensity 21

a = 4.6149 Å, b = 4.6149 Å, c = 10.9793 Å
α = 90.00°, β = 90.00°, γ = 90.00°
Fractional coordinates of all 10 atoms:
Ba: 0.0000 0.5000 0.2498
Ba: 0.5000 0.0000 0.7502
Li: 0.0000 0.0000 0.5000
Al: 0.0000 0.0000 0.0000
Al: 0.0000 0.5000 0.6278
Al: 0.5000 0.0000 0.3722
Al: 0.5000 0.5000 0.0000
Ge: 0.0000 0.5000 0.8756
Ge: 0.5000 0.0000 0.1244
Ge: 0.5000 0.5000 0.5000


Record 7
This entry pairs a crystal structure of BaAl2GeSb with its theoretical X-ray diffraction stick pattern. Radiation: Cu Kα (weighted mean of Kα1 and Kα2). Structure: a GGA-PBE-relaxed structure.
No peak broadening, texture or thermal motion is included.

Main lines, in order of rising 2θ (5° ≤ 2θ ≤ 70°):
14.05 deg, 6.302 Å, intensity 36
25.18 deg, 3.537 Å, intensity 98
28.32 deg, 3.151 Å, intensity 72
28.95 deg, 3.085 Å, intensity 100
35.90 deg, 2.501 Å, intensity 76
38.25 deg, 2.353 Å, intensity 66
46.35 deg, 1.959 Å, intensity 73
51.68 deg, 1.769 Å, intensity 26
59.98 deg, 1.542 Å, intensity 34
66.09 deg, 1.414 Å, intensity 26

a = 5.0023 Å, b = 5.0023 Å, c = 6.3020 Å
α = 90.00°, β = 90.00°, γ = 90.00°
Fractional coordinates of all 5 atoms:
Ba: 0.0000 0.0000 0.0000
Al: 0.0000 0.5000 0.5000
Al: 0.5000 0.0000 0.5000
Ge: 0.0000 0.0000 0.5000
Sb: 0.5000 0.5000 0.0000


Record 8
This entry pairs a crystal structure of BaAl3P2H2O14 with its theoretical X-ray diffraction stick pattern. Radiation: Cu Kα (weighted mean of Kα1 and Kα2). Structure: a GGA-PBE-relaxed structure.
No peak broadening, texture or thermal motion is included.

Main lines, in order of rising 2θ (5° ≤ 2θ ≤ 70°):
14.85 deg, 5.966 Å, intensity 28
15.81 deg, 5.606 Å, intensity 100
24.90 deg, 3.576 Å, intensity 36
27.46 deg, 3.248 Å, intensity 22
27.76 deg, 3.213 Å, intensity 48
29.30 deg, 3.049 Å, intensity 32
30.82 deg, 2.902 Å, intensity 21
35.48 deg, 2.530 Å, intensity 23
36.30 deg, 2.475 Å, intensity 19
49.70 deg, 1.834 Å, intensity 18

a = 7.2146 Å, b = 7.2146 Å, c = 7.4976 Å
α = 117.01°, β = 117.01°, γ = 53.51°
Fractional coordinates of all 22 atoms:
Ba: 0.0000 0.0000 0.0000
Al: 0.0000 0.0000 0.5000
Al: 0.0000 0.5000 0.5000
Al: 0.5000 0.0000 0.5000
P: 0.2694 0.2694 0.8709
P: 0.7306 0.7306 0.1291
H: 0.3213 0.3213 0.3439
H: 0.6787 0.6787 0.6561
O: 0.0227 0.7855 0.5940
O: 0.1153 0.4960 0.7854
O: 0.1290 0.1290 0.7739
O: 0.2145 0.9773 0.4060
O: 0.3122 0.3122 0.4676
O: 0.3345 0.3345 0.1051
O: 0.4960 0.1153 0.7854
O: 0.5040 0.8847 0.2146
O: 0.6655 0.6655 0.8949
O: 0.6878 0.6878 0.5324
O: 0.7855 0.0227 0.5940
O: 0.8710 0.8710 0.2261
O: 0.8847 0.5040 0.2146
O: 0.9773 0.2145 0.4060